[1]
Th4SbRu: calculated X-ray diffraction stick pattern (Cu Kα X-rays), based on DFT lattice parameters and positions (PBE).
Lines closer than 0.1° are merged.

Top 10 peaks for 2θ = 10–90°, by angle:
d = 3.101 Å, 2θ 28.79, rel. 15, hkl 0 0 2; d = 2.926 Å, 2θ 30.55, rel. 100, hkl 2 1 1; d = 2.669 Å, 2θ 33.57, rel. 19, hkl 1 1 2; d = 2.379 Å, 2θ 37.81, rel. 25, hkl 2 0 2; d = 2.347 Å, 2θ 38.35, rel. 28, hkl 3 1 0; d = 1.755 Å, 2θ 52.13, rel. 23, hkl 2 1 3; d = 1.729 Å, 2θ 52.97, rel. 15, hkl 4 1 1; d = 1.592 Å, 2θ 57.92, rel. 9, hkl 4 0 2; d = 1.524 Å, 2θ 60.79, rel. 17, hkl 3 3 2; d = 1.294 Å, 2θ 73.16, rel. 10, hkl 3 1 4

Crystal structure
```
data_Th4SbRu
_cell_length_a 7.4220
_cell_length_b 7.4220
_cell_length_c 6.2011
_cell_angle_alpha 90.00
_cell_angle_beta 90.00
_cell_angle_gamma 90.00
_space_group_name_H-M_alt 'P 4/m c c'
_space_group_IT_number 124
_space_group_name_Hall '-P 4 2c'
loop_
_atom_site_label
_atom_site_type_symbol
_atom_site_fract_x
_atom_site_fract_y
_atom_site_fract_z
_atom_site_occupancy
Th1 Th 0.1447 0.3200 0.0000 1
Sb1 Sb 0.5000 0.5000 0.2500 1
Ru1 Ru 0.0000 0.0000 0.2500 1
```

[2]
CaZn3H9: calculated X-ray diffraction stick pattern (Cu Kα X-rays), based on DFT lattice parameters and positions (PBE).
Lines closer than 0.1° are merged.

Top 10 peaks for 2θ = 10–90°, by angle:
d = 6.593 Å, 2θ 13.43, rel. 34, hkl 1 1 0; d = 4.863 Å, 2θ 18.24, rel. 32, hkl 1 1 1; d = 3.601 Å, 2θ 24.72, rel. 100, hkl 0 0 2; d = 3.296 Å, 2θ 27.05, rel. 33, hkl 2 2 0; d = 3.256 Å, 2θ 27.39, rel. 79, hkl 1 3 0; d = 2.540 Å, 2θ 35.34, rel. 56, hkl 3 1 1; d = 2.415 Å, 2θ 37.23, rel. 55, hkl 1 3 2; d = 2.242 Å, 2θ 40.23, rel. 29, hkl 2 4 0; d = 1.903 Å, 2θ 47.79, rel. 29, hkl 2 4 2; d = 1.799 Å, 2θ 50.75, rel. 30, hkl 0 0 4

Crystal structure
```
data_CaZn3H9
_cell_length_a 8.4239
_cell_length_b 10.5916
_cell_length_c 7.2023
_cell_angle_alpha 90.00
_cell_angle_beta 90.00
_cell_angle_gamma 90.00
_space_group_name_H-M_alt 'C 2 2 21'
_space_group_IT_number 20
loop_
_space_group_symop_operation_xyz
'x,y,z'
'-x,-y,z+1/2'
'x,-y,-z'
'-x,y,-z+1/2'
'x+1/2,y+1/2,z'
'-x+1/2,-y+1/2,z+1/2'
'x+1/2,-y+1/2,-z'
'-x+1/2,y+1/2,-z+1/2'
loop_
_atom_site_label
_atom_site_type_symbol
_atom_site_fract_x
_atom_site_fract_y
_atom_site_fract_z
_atom_site_occupancy
Ca1 Ca 0.1112 0.0000 0.0000 1
Zn1 Zn 0.0219 0.3494 0.4579 1
Zn2 Zn 0.2501 0.0000 0.5000 1
H1 H 0.0000 0.4225 0.2500 1
H2 H 0.0016 0.1915 0.1866 1
H3 H 0.1259 0.0329 0.6740 1
H4 H 0.1472 0.3700 0.9275 1
H5 H 0.1974 0.3509 0.5399 1
```

[3]
Ac2LaSb3Pd4: calculated X-ray diffraction stick pattern (Cu Kα X-rays), based on DFT lattice parameters and positions (PBE).
Lines closer than 0.1° are merged.

Top 10 peaks for 2θ = 10–90°, by angle:
d = 3.323 Å, 2θ 26.83, rel. 15, hkl 1 1 0; d = 2.982 Å, 2θ 29.96, rel. 43, hkl 1 0 3; d = 2.882 Å, 2θ 31.03, rel. 100, hkl 1 1 2; d = 2.464 Å, 2θ 36.46, rel. 18, hkl 1 0 4; d = 2.350 Å, 2θ 38.31, rel. 63, hkl 2 0 0; d = 2.182 Å, 2θ 41.37, rel. 23, hkl 1 1 4; d = 2.077 Å, 2θ 43.58, rel. 13, hkl 1 0 5; d = 1.846 Å, 2θ 49.38, rel. 22, hkl 2 1 3; d = 1.661 Å, 2θ 55.29, rel. 22, hkl 2 2 0; d = 1.439 Å, 2θ 64.76, rel. 26, hkl 3 1 2

Crystal structure
```
data_Ac2LaSb3Pd4
_cell_length_a 4.6993
_cell_length_b 4.6993
_cell_length_c 11.5758
_cell_angle_alpha 90.00
_cell_angle_beta 90.00
_cell_angle_gamma 90.00
_space_group_name_H-M_alt 'P -4 m 2'
_space_group_IT_number 115
loop_
_space_group_symop_operation_xyz
'x,y,z'
'y,-x,-z'
'-x,-y,z'
'-y,x,-z'
'-x,y,z'
'-y,-x,-z'
'x,-y,z'
'y,x,-z'
loop_
_atom_site_label
_atom_site_type_symbol
_atom_site_fract_x
_atom_site_fract_y
_atom_site_fract_z
_atom_site_occupancy
Ac1 Ac 0.0000 0.5000 0.2110 1
La1 La 0.0000 0.0000 0.5000 1
Sb1 Sb 0.0000 0.5000 0.8758 1
Sb2 Sb 0.5000 0.5000 0.5000 1
Pd1 Pd 0.0000 0.0000 0.0000 1
Pd2 Pd 0.0000 0.5000 0.6478 1
Pd3 Pd 0.5000 0.5000 0.0000 1
```

[4]
CuTeCl: calculated X-ray diffraction stick pattern (Cu Kα X-rays), based on DFT lattice parameters and positions (PBE).
Lines closer than 0.1° are merged.

Top 10 peaks for 2θ = 10–90°, by angle:
d = 6.013 Å, 2θ 14.73, rel. 40, hkl 0 1 0; d = 5.234 Å, 2θ 16.94, rel. 55, hkl 0 1 -1; d = 4.109 Å, 2θ 21.62, rel. 39, hkl 0 1 1; d = 3.415 Å, 2θ 26.09, rel. 23, hkl 0 1 -2; d = 3.006 Å, 2θ 29.72, rel. 51, hkl 0 2 0; d = 2.820 Å, 2θ 31.73, rel. 100, hkl 1 0 -2; d = 2.099 Å, 2θ 43.09, rel. 36, hkl 1 0 2; d = 2.079 Å, 2θ 43.52, rel. 21, hkl -1 1 3; d = 2.003 Å, 2θ 45.27, rel. 23, hkl 0 3 0; d = 1.956 Å, 2θ 46.43, rel. 17, hkl 0 3 -2

Crystal structure
```
data_CuTeCl
_cell_length_a 3.4947
_cell_length_b 6.4087
_cell_length_c 7.4531
_cell_angle_alpha 99.56
_cell_angle_beta 103.47
_cell_angle_gamma 104.86
_space_group_name_H-M_alt 'P -1'
_space_group_IT_number 2
loop_
_space_group_symop_operation_xyz
'x,y,z'
'-x,-y,-z'
loop_
_atom_site_label
_atom_site_type_symbol
_atom_site_fract_x
_atom_site_fract_y
_atom_site_fract_z
_atom_site_occupancy
Cu1 Cu 0.2379 0.3402 0.1268 1
Te1 Te 0.1595 0.7126 0.6167 1
Cl1 Cl 0.4197 0.7459 0.1088 1
```